Entry 1:
Structure and computed X-ray powder pattern of Pr4MgRu (a cell relaxed with PBE; Cu Kα, 1.54184 Å).
Intensities are scaled so that the largest is 100.

Most intense lines, 2θ = 10–90°, sorted by position:
- hkl 1 1 1, 10.74 deg, I = 26
- hkl 3 3 1, 27.24 deg, I = 45
- hkl 4 2 2, 30.69 deg, I = 57
- hkl 5 1 1, 32.60 deg, I = 100
- hkl 4 4 0, 35.59 deg, I = 37
- hkl 6 6 0, 54.57 deg, I = 54
- hkl 11 5 1, 81.83 deg, I = 16
- hkl 10 6 4, 83.52 deg, I = 16

Atomic structure:
```
data_Pr4MgRu
_cell_length_a 14.271
_cell_length_b 14.271
_cell_length_c 14.271
_cell_angle_alpha 90.00
_cell_angle_beta 90.00
_cell_angle_gamma 90.00
_symmetry_space_group_name_H-M 'F -4 3 m'
_symmetry_Int_Tables_number 216
_symmetry_space_group_name_Hall 'F -4 2 3'
loop_
_atom_site_label
_atom_site_type_symbol
_atom_site_fract_x
_atom_site_fract_y
_atom_site_fract_z
Pr1 Pr 0.000 0.000 0.188
Pr2 Pr 0.061 0.250 0.750
Pr3 Pr 0.155 0.155 0.345
Mg1 Mg 0.078 0.078 0.578
Ru1 Ru 0.138 0.138 0.138
```

Entry 2:
Structure and computed X-ray powder pattern of Pr2MgSe4 (a cell relaxed with PBE; Cu Kα, 1.54184 Å).
Intensities are scaled so that the largest is 100.

Most intense lines, 2θ = 10–90°, sorted by position:
- hkl 1 1 1, 12.71 deg, I = 49
- hkl 3 1 1, 24.46 deg, I = 49
- hkl 4 0 0, 29.61 deg, I = 100
- hkl 5 1 1, 38.77 deg, I = 22
- hkl 4 4 0, 42.37 deg, I = 88
- hkl 4 4 4, 52.54 deg, I = 26
- hkl 8 4 0, 69.70 deg, I = 34
- hkl 8 4 4, 77.50 deg, I = 29

Atomic structure:
a = 12.068 Å, b = 12.068 Å, c = 12.068 Å
α = 90.00°, β = 90.00°, γ = 90.00°
Space group Fd-3m (No. 227, origin choice 2)
Symmetry-distinct sites (fractional):
Pr  0.000  0.000  0.000
Mg  0.125  0.125  0.625
Se  0.002  0.002  0.248

Entry 3:
Structure and computed X-ray powder pattern of Pr2MgSe4 (a cell relaxed with PBE; Cu Kα, 1.54184 Å).
Intensities are scaled so that the largest is 100.

Most intense lines, 2θ = 10–90°, sorted by position:
- hkl 2 0 0, 20.26 deg, I = 24
- hkl 1 1 2, 24.01 deg, I = 25
- hkl 1 0 3, 30.74 deg, I = 58
- hkl 3 0 1, 32.13 deg, I = 49
- hkl 3 1 0, 32.30 deg, I = 100
- hkl 2 1 3, 37.10 deg, I = 86
- hkl 3 2 1, 38.28 deg, I = 35
- hkl 3 2 3, 47.63 deg, I = 28

Atomic structure:
```
data_Pr2MgSe4
_cell_length_a 8.765
_cell_length_b 8.765
_cell_length_c 9.250
_cell_angle_alpha 90.00
_cell_angle_beta 90.00
_cell_angle_gamma 90.00
_symmetry_space_group_name_H-M 'I -4 2 d'
_symmetry_Int_Tables_number 122
_symmetry_space_group_name_Hall 'I -4 2bw'
loop_
_atom_site_label
_atom_site_type_symbol
_atom_site_fract_x
_atom_site_fract_y
_atom_site_fract_z
Pr1 Pr 0.129 0.250 0.125
Mg1 Mg 0.000 0.000 0.500
Se1 Se 0.068 0.199 0.808
```

Entry 4:
Structure and computed X-ray powder pattern of Pr2MgSe4 (a cell relaxed with PBE; Cu Kα, 1.54184 Å).
Intensities are scaled so that the largest is 100.

Most intense lines, 2θ = 10–90°, sorted by position:
- hkl 0 0 3, 19.81 deg, I = 100
- hkl 1 2 0, 23.14 deg, I = 83
- hkl 2 0 -1, 23.23 deg, I = 41
- hkl 1 -2 4, 33.55 deg, I = 38
- hkl 0 4 -1, 39.73 deg, I = 55
- hkl 3 -2 0, 39.98 deg, I = 52
- hkl 3 2 -1, 40.08 deg, I = 51
- hkl 1 2 5, 44.76 deg, I = 74

Atomic structure:
```
data_Pr2MgSe4
_cell_length_a 7.784
_cell_length_b 9.076
_cell_length_c 13.715
_cell_angle_alpha 99.60
_cell_angle_beta 96.00
_cell_angle_gamma 90.16
_symmetry_space_group_name_H-M 'P -1'
_symmetry_Int_Tables_number 2
_symmetry_space_group_name_Hall '-P 1'
loop_
_atom_site_label
_atom_site_type_symbol
_atom_site_fract_x
_atom_site_fract_y
_atom_site_fract_z
Pr1 Pr 0.132 0.443 0.308
Pr2 Pr 0.135 0.960 0.312
Pr3 Pr 0.256 0.132 0.001
Pr4 Pr 0.367 0.300 0.689
Mg1 Mg 0.251 0.620 0.994
Mg2 Mg 0.365 0.800 0.703
Se1 Se 0.090 0.413 0.100
Se2 Se 0.115 0.890 0.103
Se3 Se 0.199 0.550 0.623
Se4 Se 0.202 0.014 0.628
Se5 Se 0.305 0.719 0.384
Se6 Se 0.344 0.221 0.376
Se7 Se 0.384 0.839 0.893
Se8 Se 0.414 0.360 0.898
```

Entry 5:
Structure and computed X-ray powder pattern of Pr2MgSe4 (a cell relaxed with PBE; Cu Kα, 1.54184 Å).
Intensities are scaled so that the largest is 100.

Most intense lines, 2θ = 10–90°, sorted by position:
- hkl 0 1 1, 13.81 deg, I = 57
- hkl 0 2 0, 23.74 deg, I = 66
- hkl 0 2 2, 27.83 deg, I = 47
- hkl 1 2 2, 29.71 deg, I = 66
- hkl 2 2 1, 32.44 deg, I = 60
- hkl 1 2 3, 33.92 deg, I = 89
- hkl 3 1 1, 34.13 deg, I = 100
- hkl 0 1 5, 38.23 deg, I = 45

Atomic structure:
```
data_Pr2MgSe4
_cell_length_a 8.640
_cell_length_b 7.496
_cell_length_c 12.397
_cell_angle_alpha 90.00
_cell_angle_beta 90.00
_cell_angle_gamma 90.00
_symmetry_space_group_name_H-M 'P n m a'
_symmetry_Int_Tables_number 62
_symmetry_space_group_name_Hall '-P 2ac 2n'
loop_
_atom_site_label
_atom_site_type_symbol
_atom_site_fract_x
_atom_site_fract_y
_atom_site_fract_z
Pr1 Pr 0.038 0.250 0.180
Pr2 Pr 0.085 0.750 0.463
Mg1 Mg 0.194 0.750 0.082
Se1 Se 0.088 0.250 0.937
Se2 Se 0.142 0.508 0.654
Se3 Se 0.208 0.250 0.389
```